# Zn6PtRh
Theoretical powder X-ray diffraction pattern, λ = 1.5418 Å (Cu Kα). Input: a DFT-relaxed cell (PBE, Alexandria).
Intensities are scaled so that the largest is 100.

Top 8 peaks for 10 to 80 degrees two-theta, low angle first:
2θ 16.6, d = 5.350 Å, I = 23; 2θ 21.1, d = 4.210 Å, I = 12; 2θ 39.4, d = 2.289 Å, I = 100; 2θ 41.4, d = 2.182 Å, I = 86; 2θ 46.3, d = 1.960 Å, I = 62; 2θ 48.3, d = 1.886 Å, I = 28; 2θ 69.1, d = 1.359 Å, I = 36; 2θ 79.8, d = 1.202 Å, I = 24

Structure:
a b c (Å): 6.546 6.076 4.746
angles (deg): 73.27 62.75 43.98
Fractional coordinates of all 8 atoms:
Zn1 0.122 0.122 0.378
Zn2 0.248 0.248 0.752
Zn3 0.378 0.378 0.122
Zn4 0.622 0.622 0.878
Zn5 0.752 0.752 0.248
Zn6 0.878 0.878 0.622
Pt1 0.500 0.500 0.500
Rh1 0.000 0.000 0.000